Computed powder X-ray diffraction pattern of UTaMo for CuKα, from a structure optimized by DFT (PBE).
Kinematic intensities with the Lorentz-polarization factor, no thermal factor.

Peak list (12 most intense, 2θ = 15–90°, in order of rising 2θ)
d = 4.041 Å, I = 18.3; d = 2.908 Å, I = 3.2; d = 2.361 Å, I = 100.0; d = 2.333 Å, I = 92.7; d = 1.820 Å, I = 5.3; d = 1.660 Å, I = 34.4; d = 1.368 Å, I = 17.2; d = 1.352 Å, I = 35.5; d = 1.347 Å, I = 16.7; d = 1.234 Å, I = 3.4; d = 1.180 Å, I = 11.0; d = 1.167 Å, I = 10.8

a b c (Å): 4.6666 4.6666 2.9085
angles (deg): 90.00 90.00 120.00
Space group P3m1 (No. 156)
Asymmetric unit:
U (0.0000, 0.0000, 0.0000) (multiplicity 1)
Ta (0.3333, 0.6667, 0.3536) (multiplicity 1)
Mo (0.6667, 0.3333, 0.7401) (multiplicity 1)



Computed powder X-ray diffraction pattern of TaVMo for CuKα, from a structure optimized by DFT (PBE).
Kinematic intensities with the Lorentz-polarization factor, no thermal factor.

Peak list (12 most intense, 2θ = 15–90°, in order of rising 2θ)
d = 2.634 Å, I = 31.1; d = 2.628 Å, I = 10.6; d = 2.241 Å, I = 97.3; d = 2.235 Å, I = 100.0; d = 2.175 Å, I = 10.6; d = 1.904 Å, I = 7.7; d = 1.587 Å, I = 9.1; d = 1.580 Å, I = 22.5; d = 1.295 Å, I = 9.2; d = 1.292 Å, I = 30.7; d = 1.290 Å, I = 21.3; d = 1.117 Å, I = 10.3

a b c (Å): 3.1599 3.1599 9.5207
angles (deg): 90.00 90.20 90.00
Space group P2_1/m (No. 11)
Asymmetric unit:
Ta (0.2489, 0.2500, 0.4049) (multiplicity 2)
V (0.2496, 0.2500, 0.0808) (multiplicity 2)
Mo (0.2517, 0.2500, 0.7663) (multiplicity 2)



Computed powder X-ray diffraction pattern of Ta3VMo3 for CuKα, from a structure optimized by DFT (PBE).
Kinematic intensities with the Lorentz-polarization factor, no thermal factor.

Peak list (12 most intense, 2θ = 15–90°, in order of rising 2θ)
d = 4.435 Å, I = 7.6; d = 3.161 Å, I = 10.8; d = 3.112 Å, I = 5.9; d = 2.561 Å, I = 6.2; d = 2.253 Å, I = 21.4; d = 2.218 Å, I = 100.0; d = 1.581 Å, I = 12.4; d = 1.556 Å, I = 6.8; d = 1.294 Å, I = 13.4; d = 1.280 Å, I = 17.8; d = 1.274 Å, I = 6.3; d = 1.109 Å, I = 9.8

a b c (Å): 8.8703 9.0138 6.2238
angles (deg): 90.00 90.00 90.00
Space group Cmmm (No. 65)
Asymmetric unit:
Ta (0.0000, 0.2421, 0.0000) (multiplicity 4)
Ta (0.2199, 0.0000, 0.5000) (multiplicity 4)
Ta (0.2463, 0.0000, 0.0000) (multiplicity 4)
V (0.0000, 0.2769, 0.5000) (multiplicity 4)
Mo (0.0000, 0.5000, 0.2564) (multiplicity 4)
Mo (0.2500, 0.2500, 0.2559) (multiplicity 8)



Computed powder X-ray diffraction pattern of TaVMo14 for CuKα, from a structure optimized by DFT (PBE).
Kinematic intensities with the Lorentz-polarization factor, no thermal factor.

Peak list (11 most intense, 2θ = 15–90°, in order of rising 2θ)
d = 5.165 Å, I = 1.5; d = 4.474 Å, I = 2.6; d = 3.383 Å, I = 1.5; d = 2.584 Å, I = 1.3; d = 2.237 Å, I = 100.0; d = 2.053 Å, I = 0.5; d = 2.001 Å, I = 0.7; d = 1.691 Å, I = 0.8; d = 1.582 Å, I = 16.3; d = 1.292 Å, I = 33.1; d = 1.119 Å, I = 10.9

a b c (Å): 6.3244 8.9516 8.9528
angles (deg): 90.00 90.00 90.00
Space group Cmmm (No. 65)
Asymmetric unit:
Ta (0.0000, 0.0000, 0.0000) (multiplicity 2)
V (0.0000, 0.5000, 0.0000) (multiplicity 2)
Mo (0.0000, 0.0000, 0.5000) (multiplicity 2)
Mo (0.0000, 0.2506, 0.2492) (multiplicity 8)
Mo (0.0000, 0.5000, 0.5000) (multiplicity 2)
Mo (0.2475, 0.5000, 0.2509) (multiplicity 8)
Mo (0.2500, 0.2500, 0.0000) (multiplicity 4)
Mo (0.2500, 0.2500, 0.5000) (multiplicity 4)